BaHo2CoO5: calculated X-ray diffraction stick pattern (copper Kα), based on a crystal structure in Alexandria, relaxed with GGA+U.

Structure:
```
BaHo2CoO5
1.0
12.330 0.000 0.000
0.000 5.740 0.000
0.000 0.000 7.106
Ba Ho Co O
4 8 4 20
Cartesian
1.235 1.435 0.560
4.930 4.305 4.113
7.401 1.435 2.993
11.095 4.305 6.547
0.917 4.305 2.852
2.571 1.435 4.400
3.594 4.305 0.847
5.248 1.435 6.405
7.082 4.305 0.702
8.736 1.435 6.260
9.759 4.305 2.707
11.413 1.435 4.255
1.878 4.305 5.738
4.287 1.435 2.185
8.044 4.305 4.922
10.452 1.435 1.368
0.813 2.888 4.726
0.813 5.721 4.726
1.260 4.305 0.542
2.774 0.004 2.564
2.774 2.866 2.564
3.392 2.873 6.117
3.392 5.736 6.117
4.905 1.435 4.096
5.353 0.018 1.173
5.353 2.852 1.173
6.978 2.888 5.933
6.978 5.721 5.933
7.425 4.305 3.011
8.939 0.004 0.990
8.939 2.866 0.990
9.557 2.873 4.543
9.557 5.736 4.543
11.071 1.435 6.564
11.518 0.018 2.380
11.518 2.852 2.380
```

Largest 10 diffraction maxima, most intense first, 2θ = 10–90°:
29.54°, d = 3.024 Å, I 100
30.46°, d = 2.934 Å, I 78
31.17°, d = 2.870 Å, I 51
45.01°, d = 2.014 Å, I 31
31.64°, d = 2.828 Å, I 22
54.45°, d = 1.685 Å, I 18
55.01°, d = 1.669 Å, I 18
32.99°, d = 2.715 Å, I 18
58.75°, d = 1.572 Å, I 17
36.93°, d = 2.434 Å, I 15